Entry 1:
Tb3Re3Si8: calculated PXRD pattern (copper Kα), based on a DFT-relaxed cell (PBE, Alexandria).
Peak positions follow from Bragg's law for the DFT cell and can differ from measured ones.

Principal peaks in the range 15 to 90 degrees two-theta, in order of rising 2θ:
2θ/deg, d (Å), I (rel.)
15.09, 5.873, 374
29.19, 3.060, 381
36.48, 2.463, 1000
36.73, 2.447, 186
38.27, 2.352, 122
43.53, 2.079, 210
46.37, 1.958, 180
60.55, 1.529, 128
65.99, 1.416, 176
75.28, 1.262, 123

Structure:
```
data_Tb3Re3Si8
_space_group_name_H-M_alt 'I m m m'
_space_group_IT_number 71
_space_group_name_Hall '-I 2 2'
_cell_length_a 4.1583
_cell_length_b 9.7881
_cell_length_c 11.7453
_cell_angle_alpha 90.00
_cell_angle_beta 90.00
_cell_angle_gamma 90.00
loop_
_atom_site_label
_atom_site_fract_x
_atom_site_fract_y
_atom_site_fract_z
_atom_site_occupancy
Tb1 0.0000 0.0000 0.0000 1
Tb2 0.0000 0.0000 0.3206 1
Re1 0.0000 0.2309 0.5000 1
Re2 0.0000 0.5000 0.0000 1
Si1 0.0000 0.2908 0.1224 1
Si2 0.0000 0.3717 0.3313 1
```


Entry 2:
TbReSi3: calculated PXRD pattern (copper Kα), based on a DFT-relaxed cell (PBE, Alexandria).
Peak positions follow from Bragg's law for the DFT cell and can differ from measured ones.

Principal peaks in the range 15 to 90 degrees two-theta, in order of rising 2θ:
2θ/deg, d (Å), I (rel.)
17.55, 5.054, 369
23.23, 3.829, 370
30.64, 2.918, 1000
35.39, 2.537, 948
38.80, 2.321, 405
47.50, 1.914, 569
57.55, 1.601, 210
63.74, 1.460, 129
72.08, 1.310, 176
75.17, 1.264, 149

Structure:
```
data_TbReSi3
_space_group_name_H-M_alt 'C m c m'
_space_group_IT_number 63
_space_group_name_Hall '-C 2c 2'
_cell_length_a 5.8270
_cell_length_b 10.1236
_cell_length_c 5.8655
_cell_angle_alpha 90.00
_cell_angle_beta 90.00
_cell_angle_gamma 90.00
loop_
_atom_site_label
_atom_site_fract_x
_atom_site_fract_y
_atom_site_fract_z
_atom_site_occupancy
Tb1 0.0000 0.1650 0.2500 1
Re1 0.0000 0.5000 0.0000 1
Si1 0.0000 0.3028 0.7500 1
Si2 0.2042 0.0998 0.7500 1
```


Entry 3:
ReSi2Tc: calculated PXRD pattern (copper Kα), based on a DFT-relaxed cell (PBE, Alexandria).
Peak positions follow from Bragg's law for the DFT cell and can differ from measured ones.

Principal peaks in the range 15 to 90 degrees two-theta, in order of rising 2θ:
2θ/deg, d (Å), I (rel.)
17.44, 5.085, 174
25.36, 3.513, 572
31.19, 2.868, 345
35.30, 2.543, 310
35.73, 2.513, 294
40.22, 2.242, 252
42.59, 2.123, 1000
48.65, 1.871, 189
51.10, 1.787, 193
86.71, 1.123, 132

Structure:
```
data_ReSi2Tc
_space_group_name_H-M_alt 'I m m 2'
_space_group_IT_number 44
_space_group_name_Hall 'I 2 -2'
_cell_length_a 2.9894
_cell_length_b 3.7430
_cell_length_c 10.1708
_cell_angle_alpha 90.00
_cell_angle_beta 90.00
_cell_angle_gamma 90.00
loop_
_atom_site_label
_atom_site_fract_x
_atom_site_fract_y
_atom_site_fract_z
_atom_site_occupancy
Re1 0.0000 0.0000 0.0000 1
Si1 0.0000 0.0000 0.4318 1
Si2 0.0000 0.5000 0.1696 1
Tc1 0.0000 0.5000 0.7376 1
```


Entry 4:
YReSi2Tc: calculated PXRD pattern (copper Kα), based on a DFT-relaxed cell (PBE, Alexandria).
Peak positions follow from Bragg's law for the DFT cell and can differ from measured ones.

Principal peaks in the range 15 to 90 degrees two-theta, in order of rising 2θ:
2θ/deg, d (Å), I (rel.)
17.43, 5.088, 367
23.29, 3.819, 183
34.24, 2.619, 181
35.28, 2.544, 180
35.50, 2.528, 1000
43.95, 2.060, 358
47.44, 1.916, 195
57.56, 1.601, 176
63.46, 1.466, 173
75.28, 1.262, 220

Structure:
```
data_YReSi2Tc
_space_group_name_H-M_alt 'I -4 m 2'
_space_group_IT_number 119
_space_group_name_Hall 'I -4 -2'
_cell_length_a 4.1206
_cell_length_b 4.1206
_cell_length_c 10.1767
_cell_angle_alpha 90.00
_cell_angle_beta 90.00
_cell_angle_gamma 90.00
loop_
_atom_site_label
_atom_site_fract_x
_atom_site_fract_y
_atom_site_fract_z
_atom_site_occupancy
Y1 0.0000 0.0000 0.0000 1
Re1 0.0000 0.5000 0.7500 1
Si1 0.0000 0.0000 0.3784 1
Tc1 0.0000 0.5000 0.2500 1
```


Entry 5:
Tm2Re3Si5: calculated PXRD pattern (copper Kα), based on a DFT-relaxed cell (PBE, Alexandria).
Peak positions follow from Bragg's law for the DFT cell and can differ from measured ones.

Principal peaks in the range 15 to 90 degrees two-theta, in order of rising 2θ:
2θ/deg, d (Å), I (rel.)
25.68, 3.469, 968
29.39, 3.039, 339
30.52, 2.929, 893
34.82, 2.577, 414
36.63, 2.453, 547
37.61, 2.391, 1000
40.36, 2.235, 731
44.49, 2.036, 384
46.91, 1.937, 430
48.47, 1.878, 352

Structure:
```
data_Tm2Re3Si5
_space_group_name_H-M_alt 'P 4/m n c'
_space_group_IT_number 128
_space_group_name_Hall '-P 4 2n'
_cell_length_a 10.9706
_cell_length_b 10.9706
_cell_length_c 5.4633
_cell_angle_alpha 90.00
_cell_angle_beta 90.00
_cell_angle_gamma 90.00
loop_
_atom_site_label
_atom_site_fract_x
_atom_site_fract_y
_atom_site_fract_z
_atom_site_occupancy
Tm1 0.0777 0.2370 0.0000 1
Re1 0.0000 0.5000 0.2500 1
Re2 0.1229 0.8531 0.5000 1
Si1 0.0000 0.0000 0.2372 1
Si2 0.0298 0.3135 0.5000 1
Si3 0.1725 0.6725 0.2500 1
```


Entry 6:
V2ReSi4: calculated PXRD pattern (copper Kα), based on a DFT-relaxed cell (PBE, Alexandria).
Peak positions follow from Bragg's law for the DFT cell and can differ from measured ones.

Principal peaks in the range 15 to 90 degrees two-theta, in order of rising 2θ:
2θ/deg, d (Å), I (rel.)
20.75, 4.281, 489
27.56, 3.237, 770
29.53, 3.025, 545
39.37, 2.289, 575
42.24, 2.140, 1000
44.92, 2.018, 179
49.97, 1.825, 329
56.91, 1.618, 275
59.11, 1.563, 610
86.59, 1.124, 249

Structure:
```
data_V2ReSi4
_space_group_name_H-M_alt 'I 4/m m m'
_space_group_IT_number 139
_space_group_name_Hall '-I 4 2'
_cell_length_a 4.5777
_cell_length_b 4.5777
_cell_length_c 12.0970
_cell_angle_alpha 90.00
_cell_angle_beta 90.00
_cell_angle_gamma 90.00
loop_
_atom_site_label
_atom_site_fract_x
_atom_site_fract_y
_atom_site_fract_z
_atom_site_occupancy
V1 0.0000 0.0000 0.0950 1
Re1 0.0000 0.0000 0.5000 1
Si1 0.0000 0.0000 0.2973 1
Si2 0.0000 0.5000 0.0000 1
```


Entry 7:
Re2Si4W: calculated PXRD pattern (copper Kα), based on a DFT-relaxed cell (PBE, Alexandria).
Peak positions follow from Bragg's law for the DFT cell and can differ from measured ones.

Principal peaks in the range 15 to 90 degrees two-theta, in order of rising 2θ:
2θ/deg, d (Å), I (rel.)
27.52, 3.241, 1000
29.32, 3.046, 422
39.31, 2.292, 570
41.86, 2.158, 792
42.10, 2.146, 179
49.79, 1.832, 207
56.81, 1.621, 196
58.77, 1.571, 588
64.26, 1.450, 188
86.22, 1.128, 207

Structure:
```
data_Re2Si4W
_space_group_name_H-M_alt 'I 4/m m m'
_space_group_IT_number 139
_space_group_name_Hall '-I 4 2'
_cell_length_a 4.5839
_cell_length_b 4.5839
_cell_length_c 12.2303
_cell_angle_alpha 90.00
_cell_angle_beta 90.00
_cell_angle_gamma 90.00
loop_
_atom_site_label
_atom_site_fract_x
_atom_site_fract_y
_atom_site_fract_z
_atom_site_occupancy
Re1 0.0000 0.0000 0.1035 1
Si1 0.0000 0.0000 0.2953 1
Si2 0.0000 0.5000 0.0000 1
W1 0.0000 0.0000 0.5000 1
```


Entry 8:
YRe3Si3: calculated PXRD pattern (copper Kα), based on a DFT-relaxed cell (PBE, Alexandria).
Peak positions follow from Bragg's law for the DFT cell and can differ from measured ones.

Principal peaks in the range 15 to 90 degrees two-theta, in order of rising 2θ:
2θ/deg, d (Å), I (rel.)
18.99, 4.674, 240
26.98, 3.305, 327
30.24, 2.956, 1000
33.20, 2.698, 758
47.66, 1.908, 301
49.74, 1.833, 261
51.75, 1.766, 429
55.62, 1.652, 251
64.62, 1.442, 240
77.82, 1.227, 213

Structure:
```
data_YRe3Si3
_space_group_name_H-M_alt 'P m -3 n'
_space_group_IT_number 223
_space_group_name_Hall '-P 4n 2 3'
_cell_length_a 6.6096
_cell_length_b 6.6096
_cell_length_c 6.6096
_cell_angle_alpha 90.00
_cell_angle_beta 90.00
_cell_angle_gamma 90.00
loop_
_atom_site_label
_atom_site_fract_x
_atom_site_fract_y
_atom_site_fract_z
_atom_site_occupancy
Y1 0.0000 0.0000 0.0000 1
Re1 0.0000 0.2500 0.5000 1
Si1 0.0000 0.5000 0.2500 1
```